# 1
Computed XRD peak list of Tb2CoGe3 for Cu Kα (λ = 1.5418 Å), from a structure optimized by DFT (PBE).
Lines closer than 0.1° are merged.

The 10 most intense peaks (2θ from 15° to 90°), sorted by position:
| 2theta | I_rel |
| --- | --- |
| 23.93 | 28.2 |
| 33.67 | 76.6 |
| 33.94 | 26.7 |
| 35.19 | 100.0 |
| 35.43 | 47.6 |
| 35.99 | 26.1 |
| 40.13 | 44.9 |
| 40.63 | 28.9 |
| 43.03 | 46.9 |
| 66.05 | 23.3 |

Structural model:
Cell: 10.5153 4.2042 6.9653 Å, 90.00 130.67 90.00°
Space group Cm (No. 8)
Inequivalent atoms, fractional coordinates:
Tb: 0.0000 0.0000 0.0000
Tb: 0.1150 0.0000 0.5905
Co: 0.2346 0.5000 0.0450
Ge: 0.2440 0.5000 0.4028
Ge: 0.3606 0.0000 0.1646
Ge: 0.4528 0.0000 0.6689

# 2
Computed XRD peak list of CsH3Cl3 for Cu Kα (λ = 1.5418 Å), from a structure optimized by DFT (PBE).
Lines closer than 0.1° are merged.

The 10 most intense peaks (2θ from 15° to 90°), sorted by position:
| 2theta | I_rel |
| --- | --- |
| 16.43 | 36.9 |
| 23.32 | 39.5 |
| 28.66 | 100.0 |
| 33.21 | 50.5 |
| 37.27 | 22.9 |
| 40.97 | 17.4 |
| 47.68 | 33.0 |
| 56.58 | 38.7 |
| 77.05 | 15.4 |
| 79.44 | 14.2 |

Structural model:
Cell: 7.6306 7.6306 18.6879 Å, 90.00 90.00 120.00°
Space group R-3 (No. 148, hexagonal axes)
Inequivalent atoms, fractional coordinates:
Cs: 0.0000 0.0000 0.2500
H: 0.0728 0.9254 0.0368
Cl: 0.0078 0.5058 0.7481

# 3
Computed XRD peak list of PrEr2In3 for Cu Kα (λ = 1.5418 Å), from a structure optimized by DFT (PBE).
Lines closer than 0.1° are merged.

The 10 most intense peaks (2θ from 15° to 90°), sorted by position:
| 2theta | I_rel |
| --- | --- |
| 33.32 | 100.0 |
| 33.70 | 50.0 |
| 47.26 | 8.5 |
| 48.41 | 17.9 |
| 59.30 | 17.1 |
| 60.03 | 36.2 |
| 69.97 | 10.4 |
| 78.88 | 6.4 |
| 80.60 | 7.7 |
| 80.81 | 7.9 |

Structural model:
Cell: 3.7609 3.7609 11.5393 Å, 90.00 90.00 90.00°
Space group P4/mmm (No. 123)
Inequivalent atoms, fractional coordinates:
Pr: 0.0000 0.0000 0.0000
Er: 0.0000 0.0000 0.3404
In: 0.5000 0.5000 0.1818
In: 0.5000 0.5000 0.5000

# 4
Computed XRD peak list of Cd2In3Pb for Cu Kα (λ = 1.5418 Å), from a structure optimized by DFT (PBE).
Lines closer than 0.1° are merged.

The 10 most intense peaks (2θ from 15° to 90°), sorted by position:
| 2theta | I_rel |
| --- | --- |
| 31.09 | 22.9 |
| 32.35 | 21.2 |
| 33.27 | 100.0 |
| 33.69 | 55.5 |
| 35.49 | 86.5 |
| 36.02 | 16.2 |
| 37.11 | 14.4 |
| 59.99 | 14.9 |
| 67.46 | 24.8 |
| 67.71 | 14.1 |

Structural model:
Cell: 8.2062 3.2404 12.3373 Å, 90.00 100.03 90.00°
Space group P2_1/m (No. 11)
Inequivalent atoms, fractional coordinates:
Cd: 0.0303 0.2500 0.1185
Cd: 0.3504 0.7500 0.5508
In: 0.0404 0.2500 0.3886
In: 0.3385 0.7500 0.0386
In: 0.3409 0.7500 0.2933
Pb: 0.2846 0.2500 0.7860

# 5
Computed XRD peak list of Na8PtO6 for Cu Kα (λ = 1.5418 Å), from a structure optimized by DFT (PBE).
Lines closer than 0.1° are merged.

The 10 most intense peaks (2θ from 15° to 90°), sorted by position:
| 2theta | I_rel |
| --- | --- |
| 18.12 | 82.1 |
| 19.61 | 55.1 |
| 23.48 | 69.3 |
| 26.82 | 36.5 |
| 28.83 | 58.8 |
| 32.56 | 44.7 |
| 35.11 | 100.0 |
| 39.83 | 34.8 |
| 41.23 | 63.7 |
| 58.61 | 27.9 |

Structural model:
Cell: 4.5266 6.9242 6.9246 Å, 90.00 90.16 90.01°
Space group P1 (No. 1)
Inequivalent atoms, fractional coordinates:
Na: 0.0000 0.0000 0.0000
Na: 0.0004 0.4241 0.8366
Na: 0.0018 0.7938 0.6305
Na: 0.5273 0.3776 0.1369
Na: 0.5282 0.9311 0.2528
Na: 0.5293 0.0454 0.6998
Na: 0.5286 0.4939 0.5850
Na: 0.9984 0.6303 0.2065
Pt: 0.0338 0.2122 0.4185
O: 0.0312 0.3053 0.1355
O: 0.0325 0.4951 0.5115
O: 0.0324 0.9291 0.3253
O: 0.0336 0.1191 0.7014
O: 0.5337 0.2125 0.4187
O: 0.6674 0.7126 0.9167

# 6
Computed XRD peak list of TcGe6Mo3 for Cu Kα (λ = 1.5418 Å), from a structure optimized by DFT (PBE).
Lines closer than 0.1° are merged.

The 10 most intense peaks (2θ from 15° to 90°), sorted by position:
| 2theta | I_rel |
| --- | --- |
| 28.59 | 29.9 |
| 30.89 | 75.7 |
| 36.16 | 51.8 |
| 37.88 | 54.9 |
| 38.03 | 65.0 |
| 38.47 | 30.9 |
| 41.01 | 100.0 |
| 41.96 | 32.0 |
| 45.57 | 28.0 |
| 47.39 | 39.4 |

Structural model:
Cell: 5.9999 7.1030 9.5098 Å, 90.00 123.15 90.00°
Space group P2_1/c (No. 14)
Inequivalent atoms, fractional coordinates:
Tc: 0.0000 0.0000 0.0000
Ge: 0.0588 0.1731 0.4192
Ge: 0.3081 0.6692 0.4495
Ge: 0.4628 0.0844 0.2284
Mo: 0.1801 0.1423 0.7336
Mo: 0.5000 0.0000 0.5000

# 7
Computed XRD peak list of Ag5N2F12 for Cu Kα (λ = 1.5418 Å), from a structure optimized by DFT (PBE).
Lines closer than 0.1° are merged.

The 10 most intense peaks (2θ from 15° to 90°), sorted by position:
| 2theta | I_rel |
| --- | --- |
| 17.29 | 43.8 |
| 25.23 | 55.2 |
| 25.89 | 48.3 |
| 26.79 | 100.0 |
| 29.12 | 53.1 |
| 29.34 | 61.4 |
| 29.58 | 63.8 |
| 30.80 | 75.6 |
| 42.32 | 46.6 |
| 42.58 | 39.3 |

Structural model:
Cell: 6.1329 7.0317 9.0148 Å, 75.44 80.69 64.66°
Space group P-1 (No. 2)
Inequivalent atoms, fractional coordinates:
Ag: 0.0000 0.0000 0.0000
Ag: 0.3114 0.4441 0.8427
Ag: 0.4143 0.0917 0.1733
N: 0.2309 0.6436 0.5172
F: 0.0012 0.2759 0.5261
F: 0.0495 0.3188 0.1618
F: 0.2208 0.1712 0.8435
F: 0.2800 0.8241 0.4933
F: 0.3263 0.8257 0.1492
F: 0.4458 0.6785 0.8330

# 8
Computed XRD peak list of InSb3S6 for Cu Kα (λ = 1.5418 Å), from a structure optimized by DFT (PBE).
Lines closer than 0.1° are merged.

The 10 most intense peaks (2θ from 15° to 90°), sorted by position:
| 2theta | I_rel |
| --- | --- |
| 17.97 | 34.6 |
| 23.85 | 100.0 |
| 24.04 | 58.4 |
| 27.61 | 29.6 |
| 30.64 | 26.3 |
| 36.01 | 31.1 |
| 36.41 | 34.5 |
| 39.32 | 28.7 |
| 47.89 | 21.4 |
| 50.62 | 40.6 |

Structural model:
Cell: 11.3955 14.3632 6.7955 Å, 90.00 90.00 90.00°
Space group Cmc2_1 (No. 36)
Inequivalent atoms, fractional coordinates:
In: 0.0000 0.2196 0.0000
Sb: 0.0000 0.3850 0.4851
Sb: 0.1845 0.1231 0.3759
S: 0.0000 0.0601 0.1599
S: 0.0000 0.2249 0.6393
S: 0.1580 0.4604 0.6945
S: 0.1753 0.2749 0.1887

# 9
Computed XRD peak list of NaHo2F7 for Cu Kα (λ = 1.5418 Å), from a structure optimized by DFT (PBE).
Lines closer than 0.1° are merged.

The 10 most intense peaks (2θ from 15° to 90°), sorted by position:
| 2theta | I_rel |
| --- | --- |
| 15.98 | 92.5 |
| 20.61 | 100.0 |
| 25.36 | 56.7 |
| 26.19 | 46.3 |
| 27.26 | 59.4 |
| 30.12 | 32.1 |
| 36.77 | 30.8 |
| 47.91 | 38.4 |
| 50.76 | 42.8 |
| 61.44 | 35.1 |

Structural model:
Cell: 7.0252 11.0905 4.3095 Å, 90.00 90.00 90.00°
Space group Cmmm (No. 65)
Inequivalent atoms, fractional coordinates:
Na: 0.0000 0.0000 0.0000
Ho: 0.0000 0.3043 0.5000
F: 0.0000 0.2829 0.0000
F: 0.0000 0.5000 0.5000
F: 0.1896 0.1405 0.5000

# 10
Computed XRD peak list of ScTcPt2 for Cu Kα (λ = 1.5418 Å), from a structure optimized by DFT (PBE).
Lines closer than 0.1° are merged.

The 10 most intense peaks (2θ from 15° to 90°), sorted by position:
| 2theta | I_rel |
| --- | --- |
| 17.92 | 14.4 |
| 26.52 | 31.1 |
| 36.30 | 18.4 |
| 36.60 | 16.8 |
| 39.36 | 36.0 |
| 41.47 | 37.0 |
| 41.74 | 100.0 |
| 65.50 | 14.8 |
| 72.99 | 19.1 |
| 79.17 | 17.3 |

Structural model:
Cell: 2.8277 4.5786 4.9499 Å, 90.00 90.00 90.00°
Space group Pmm2 (No. 25)
Inequivalent atoms, fractional coordinates:
Sc: 0.0000 0.0000 0.0000
Tc: 0.0000 0.5000 0.6327
Pt: 0.5000 0.0000 0.5061
Pt: 0.5000 0.5000 0.1516

# 11
Computed XRD peak list of Ba6In5N for Cu Kα (λ = 1.5418 Å), from a structure optimized by DFT (PBE).
Lines closer than 0.1° are merged.

The 10 most intense peaks (2θ from 15° to 90°), sorted by position:
| 2theta | I_rel |
| --- | --- |
| 25.02 | 72.1 |
| 27.94 | 83.4 |
| 29.47 | 81.1 |
| 31.86 | 100.0 |
| 32.93 | 57.9 |
| 34.39 | 29.0 |
| 36.09 | 31.8 |
| 50.85 | 35.7 |
| 52.94 | 19.4 |
| 58.19 | 20.0 |

Structural model:
Cell: 8.3256 8.3256 44.7990 Å, 90.00 90.00 120.00°
Space group R-3c (No. 167, hexagonal axes)
Inequivalent atoms, fractional coordinates:
Ba: 0.0169 0.4483 0.2017
In: 0.0000 0.0000 0.1933
In: 0.0000 0.2164 0.7500
N: 0.0000 0.0000 0.0000

# 12
Computed XRD peak list of Nd4GaRu for Cu Kα (λ = 1.5418 Å), from a structure optimized by DFT (PBE).
Lines closer than 0.1° are merged.

The 10 most intense peaks (2θ from 15° to 90°), sorted by position:
| 2theta | I_rel |
| --- | --- |
| 29.16 | 53.2 |
| 30.44 | 97.7 |
| 30.58 | 96.6 |
| 33.17 | 79.3 |
| 34.58 | 100.0 |
| 34.82 | 50.4 |
| 35.74 | 39.4 |
| 36.18 | 84.8 |
| 39.17 | 38.9 |
| 39.53 | 43.0 |

Structural model:
Cell: 9.0180 13.7482 6.3558 Å, 90.00 119.04 90.00°
Space group C2/c (No. 15)
Inequivalent atoms, fractional coordinates:
Nd: 0.1193 0.1799 0.0853
Nd: 0.2136 0.4339 0.3128
Ga: 0.0000 0.3723 0.7500
Ru: 0.0000 0.0003 0.2500